1.
For Na2U2MnH8C12O28, a PBE+U-relaxed structure gives the calculated powder X-ray diffraction pattern in this record (a wavelength of 1.5418 Å).

Crystal structure
```
Na2U2MnH8C12O28
1.0
6.5267 0.0000 0.0000
2.9254 7.3868 0.0000
1.1993 3.0321 12.5173
Na U Mn H C O
2 2 1 8 12 28
direct
0.2454 0.3386 0.2912
0.7546 0.6614 0.7088
0.2646 0.8381 0.3052
0.7354 0.1619 0.6948
0.0000 0.5000 0.0000
0.1623 0.6984 0.8181
0.2408 0.4873 0.8069
0.3242 0.5555 0.1033
0.4284 0.3527 0.0780
0.5716 0.6473 0.9220
0.6758 0.4445 0.8967
0.7592 0.5127 0.1931
0.8377 0.3016 0.1819
0.0253 0.0891 0.4789
0.1909 0.2476 0.7238
0.2006 0.0851 0.0613
0.2833 0.0434 0.7183
0.3032 0.8837 0.0451
0.4738 0.4329 0.4748
0.5262 0.5671 0.5252
0.6968 0.1163 0.9549
0.7167 0.9566 0.2817
0.7994 0.9149 0.9387
0.8091 0.7524 0.2762
0.9747 0.9109 0.5211
0.0160 0.6727 0.2764
0.0436 0.7881 0.4678
0.1349 0.0990 0.3926
0.1366 0.2232 0.9835
0.1456 0.9633 0.7244
0.1797 0.5708 0.8567
0.1888 0.0933 0.1594
0.2915 0.4444 0.0996
0.3243 0.7590 0.1345
0.3303 0.3223 0.7300
0.3570 0.8522 0.9553
0.3861 0.5012 0.3823
0.4804 0.7326 0.4723
0.4900 0.9712 0.7092
0.5100 0.0288 0.2908
0.5196 0.2674 0.5277
0.6139 0.4988 0.6177
0.6430 0.1478 0.0447
0.6697 0.6777 0.2700
0.6757 0.2410 0.8655
0.7085 0.5556 0.9004
0.8112 0.9067 0.8406
0.8203 0.4292 0.1433
0.8544 0.0367 0.2756
0.8634 0.7768 0.0165
0.8651 0.9010 0.6074
0.9564 0.2119 0.5322
0.9840 0.3273 0.7236
```

Most intense lines, 2θ = 15–90°, low angle first:
2θ 15.4, 5.761 Å, I = 19; 2θ 15.6, 5.667 Å, I = 100; 2θ 16.2, 5.460 Å, I = 81; 2θ 16.5, 5.388 Å, I = 47; 2θ 20.4, 4.357 Å, I = 17; 2θ 21.3, 4.172 Å, I = 24; 2θ 23.9, 3.729 Å, I = 19; 2θ 24.1, 3.688 Å, I = 16; 2θ 32.8, 2.730 Å, I = 19; 2θ 44.6, 2.034 Å, I = 16



2.
For Li9Mn2Co5O16, a PBE+U-relaxed structure gives the calculated powder X-ray diffraction pattern in this record (a wavelength of 1.5418 Å).

Crystal structure
```
Li9Mn2Co5O16
1.0
5.0061 0.0000 0.0000
-0.8866 6.5726 0.0000
-0.7930 -1.3560 8.6888
Li Mn Co O
9 2 5 16
direct
0.0000 0.0000 0.0000
0.2342 0.1815 0.2973
0.2440 0.6959 0.8215
0.2504 0.4280 0.0591
0.2527 0.9337 0.5650
0.7473 0.0663 0.4350
0.7496 0.5720 0.9409
0.7560 0.3041 0.1785
0.7658 0.8185 0.7027
0.4997 0.3781 0.6263
0.5003 0.6219 0.3737
0.0000 0.5000 0.5000
0.0060 0.7525 0.2412
0.4888 0.1155 0.8767
0.5112 0.8845 0.1233
0.9940 0.2475 0.7588
0.1331 0.7197 0.0495
0.1357 0.2482 0.5421
0.1395 0.4782 0.3007
0.1400 0.9833 0.7778
0.3665 0.6344 0.5794
0.3784 0.4031 0.8259
0.3775 0.8806 0.3485
0.3871 0.1485 0.0890
0.6129 0.8515 0.9110
0.6225 0.1194 0.6515
0.6216 0.5969 0.1741
0.6335 0.3656 0.4206
0.8600 0.0167 0.2222
0.8605 0.5218 0.6993
0.8643 0.7518 0.4579
0.8669 0.2803 0.9505
```

Most intense lines, 2θ = 15–90°, low angle first:
2θ 18.3, 4.855 Å, I = 100; 2θ 35.8, 2.509 Å, I = 14; 2θ 36.1, 2.489 Å, I = 13; 2θ 36.4, 2.465 Å, I = 13; 2θ 43.3, 2.091 Å, I = 28; 2θ 43.6, 2.074 Å, I = 27; 2θ 44.0, 2.059 Å, I = 27; 2θ 47.6, 1.911 Å, I = 9; 2θ 62.9, 1.478 Å, I = 14; 2θ 63.0, 1.475 Å, I = 7



3.
For Mn3OF5, a PBE+U-relaxed structure gives the calculated powder X-ray diffraction pattern in this record (a wavelength of 1.5418 Å).

Crystal structure
```
Mn3OF5
1.0
4.6990 -3.5194 0.0000
4.6990 3.5194 0.0000
-2.7112 0.0000 7.0781
Mn O F
6 2 10
direct
0.0000 0.0000 0.0000
0.0000 0.0000 0.5000
0.3212 0.3212 0.3482
0.3328 0.3328 0.8174
0.6672 0.6672 0.1826
0.6788 0.6788 0.6518
0.2140 0.2140 0.5358
0.7860 0.7860 0.4642
0.0333 0.6337 0.8362
0.0928 0.0928 0.7908
0.3064 0.6936 0.5000
0.3663 0.9667 0.1638
0.4249 0.4249 0.1254
0.5751 0.5751 0.8746
0.6337 0.0333 0.8362
0.6936 0.3064 0.5000
0.9072 0.9072 0.2092
0.9667 0.3663 0.1638
```

Most intense lines, 2θ = 15–90°, low angle first:
2θ 25.3, 3.519 Å, I = 100; 2θ 26.1, 3.416 Å, I = 96; 2θ 33.0, 2.711 Å, I = 49; 2θ 33.2, 2.701 Å, I = 52; 2θ 37.7, 2.386 Å, I = 22; 2θ 49.8, 1.832 Å, I = 68; 2θ 50.5, 1.806 Å, I = 30; 2θ 50.8, 1.798 Å, I = 28; 2θ 63.6, 1.462 Å, I = 30; 2θ 63.9, 1.457 Å, I = 22



4.
For BaMn3O6, a PBE+U-relaxed structure gives the calculated powder X-ray diffraction pattern in this record (a wavelength of 1.5418 Å).

Crystal structure
```
BaMn3O6
1.0
10.6303 -2.0280 0.0000
10.6303 2.0280 0.0000
-0.8065 0.0000 5.7263
Ba Mn O
2 6 12
direct
0.0679 0.0679 0.2844
0.9321 0.9321 0.7156
0.2939 0.2939 0.1474
0.2943 0.2943 0.6482
0.4368 0.4368 0.2178
0.5632 0.5632 0.7822
0.7057 0.7057 0.3518
0.7061 0.7061 0.8526
0.0640 0.0640 0.7812
0.2268 0.2268 0.3612
0.2292 0.2292 0.8649
0.3550 0.3550 0.4255
0.3562 0.3562 0.9350
0.5000 0.5000 0.0000
0.5000 0.5000 0.5000
0.6438 0.6438 0.0650
0.6450 0.6450 0.5745
0.7708 0.7708 0.1351
0.7732 0.7732 0.6388
0.9360 0.9360 0.2188
```

Most intense lines, 2θ = 15–90°, low angle first:
2θ 25.4, 3.510 Å, I = 100; 2θ 28.9, 3.091 Å, I = 75; 2θ 30.6, 2.921 Å, I = 71; 2θ 30.8, 2.905 Å, I = 83; 2θ 31.2, 2.864 Å, I = 96; 2θ 33.0, 2.710 Å, I = 63; 2θ 34.1, 2.632 Å, I = 52; 2θ 43.3, 2.088 Å, I = 78; 2θ 43.5, 2.081 Å, I = 77; 2θ 44.7, 2.028 Å, I = 90



Repeat the first record exactly.
For Na2U2MnH8C12O28, a PBE+U-relaxed structure gives the calculated powder X-ray diffraction pattern in this record (a wavelength of 1.5418 Å).

Crystal structure
```
Na2U2MnH8C12O28
1.0
6.5267 0.0000 0.0000
2.9254 7.3868 0.0000
1.1993 3.0321 12.5173
Na U Mn H C O
2 2 1 8 12 28
direct
0.2454 0.3386 0.2912
0.7546 0.6614 0.7088
0.2646 0.8381 0.3052
0.7354 0.1619 0.6948
0.0000 0.5000 0.0000
0.1623 0.6984 0.8181
0.2408 0.4873 0.8069
0.3242 0.5555 0.1033
0.4284 0.3527 0.0780
0.5716 0.6473 0.9220
0.6758 0.4445 0.8967
0.7592 0.5127 0.1931
0.8377 0.3016 0.1819
0.0253 0.0891 0.4789
0.1909 0.2476 0.7238
0.2006 0.0851 0.0613
0.2833 0.0434 0.7183
0.3032 0.8837 0.0451
0.4738 0.4329 0.4748
0.5262 0.5671 0.5252
0.6968 0.1163 0.9549
0.7167 0.9566 0.2817
0.7994 0.9149 0.9387
0.8091 0.7524 0.2762
0.9747 0.9109 0.5211
0.0160 0.6727 0.2764
0.0436 0.7881 0.4678
0.1349 0.0990 0.3926
0.1366 0.2232 0.9835
0.1456 0.9633 0.7244
0.1797 0.5708 0.8567
0.1888 0.0933 0.1594
0.2915 0.4444 0.0996
0.3243 0.7590 0.1345
0.3303 0.3223 0.7300
0.3570 0.8522 0.9553
0.3861 0.5012 0.3823
0.4804 0.7326 0.4723
0.4900 0.9712 0.7092
0.5100 0.0288 0.2908
0.5196 0.2674 0.5277
0.6139 0.4988 0.6177
0.6430 0.1478 0.0447
0.6697 0.6777 0.2700
0.6757 0.2410 0.8655
0.7085 0.5556 0.9004
0.8112 0.9067 0.8406
0.8203 0.4292 0.1433
0.8544 0.0367 0.2756
0.8634 0.7768 0.0165
0.8651 0.9010 0.6074
0.9564 0.2119 0.5322
0.9840 0.3273 0.7236
```

Most intense lines, 2θ = 15–90°, low angle first:
2θ 15.4, 5.761 Å, I = 19; 2θ 15.6, 5.667 Å, I = 100; 2θ 16.2, 5.460 Å, I = 81; 2θ 16.5, 5.388 Å, I = 47; 2θ 20.4, 4.357 Å, I = 17; 2θ 21.3, 4.172 Å, I = 24; 2θ 23.9, 3.729 Å, I = 19; 2θ 24.1, 3.688 Å, I = 16; 2θ 32.8, 2.730 Å, I = 19; 2θ 44.6, 2.034 Å, I = 16